# Li3Cr5O8
Computed powder X-ray diffraction pattern, Cu Kα X-rays. Input: a cell relaxed with GGA+U.

Atomic structure:
```
Li3Cr5O8
1.0
5.987 0.000 0.000
2.927 5.292 0.000
2.412 1.620 10.018
Li Cr O
6 10 16
direct
0.245 0.252 0.250
0.246 0.754 0.250
0.249 0.251 0.751
0.751 0.749 0.249
0.754 0.246 0.750
0.755 0.748 0.750
0.000 0.000 0.000
0.000 0.000 0.500
0.000 0.500 0.000
0.000 0.500 0.500
0.258 0.748 0.748
0.500 0.000 0.000
0.500 0.000 0.500
0.500 0.500 0.000
0.500 0.500 0.500
0.742 0.252 0.252
0.137 0.136 0.108
0.138 0.634 0.110
0.142 0.638 0.611
0.154 0.093 0.622
0.345 0.410 0.878
0.359 0.863 0.889
0.360 0.364 0.393
0.361 0.865 0.391
0.639 0.135 0.609
0.640 0.636 0.607
0.641 0.137 0.111
0.655 0.590 0.122
0.846 0.907 0.378
0.858 0.362 0.389
0.862 0.366 0.890
0.863 0.864 0.892
```

Top 10 peaks for 2θ from 15° to 90°, in order of rising 2θ:
d 5.009, intensity 100; d 4.974, intensity 22; d 2.505, intensity 16; d 2.487, intensity 27; d 2.191, intensity 61; d 2.178, intensity 60; d 2.078, intensity 53; d 1.562, intensity 16; d 1.528, intensity 16; d 1.510, intensity 15


# Li2Cr2O7
Computed powder X-ray diffraction pattern, Cu Kα X-rays. Input: a cell relaxed with GGA+U.

Atomic structure:
```
Li2Cr2O7
1.0
3.826 -4.262 0.000
3.826 4.262 0.000
-3.691 0.000 9.274
Li Cr O
4 4 14
direct
0.156 0.792 0.510
0.208 0.844 0.990
0.792 0.156 0.010
0.844 0.208 0.490
0.290 0.310 0.292
0.310 0.290 0.792
0.690 0.710 0.208
0.710 0.690 0.708
0.112 0.119 0.640
0.119 0.112 0.140
0.119 0.430 0.391
0.176 0.482 0.884
0.430 0.119 0.891
0.453 0.547 0.250
0.482 0.176 0.384
0.518 0.824 0.616
0.547 0.453 0.750
0.570 0.881 0.109
0.824 0.518 0.116
0.881 0.570 0.609
0.881 0.888 0.860
0.888 0.881 0.360
```

Top 10 peaks for 2θ from 15° to 90°, in order of rising 2θ:
d 5.459, intensity 24; d 4.637, intensity 69; d 4.262, intensity 95; d 3.555, intensity 45; d 3.519, intensity 100; d 3.138, intensity 84; d 3.124, intensity 64; d 2.714, intensity 43; d 2.083, intensity 25; d 1.634, intensity 20


# Li6Cr2O7
Computed powder X-ray diffraction pattern, Cu Kα X-rays. Input: a cell relaxed with GGA+U.

Atomic structure:
```
Li6Cr2O7
1.0
7.870 0.000 0.000
0.000 5.059 0.000
-3.972 0.000 8.192
Li Cr O
12 4 14
direct
0.070 0.191 0.166
0.070 0.809 0.666
0.336 0.201 0.617
0.336 0.799 0.117
0.419 0.190 0.356
0.419 0.810 0.856
0.581 0.190 0.144
0.581 0.810 0.644
0.664 0.201 0.883
0.664 0.799 0.383
0.930 0.191 0.334
0.930 0.809 0.834
0.219 0.313 0.904
0.219 0.687 0.404
0.781 0.313 0.596
0.781 0.687 0.096
0.000 0.152 0.750
0.000 0.848 0.250
0.189 0.334 0.394
0.189 0.666 0.894
0.280 0.197 0.106
0.280 0.803 0.606
0.405 0.214 0.857
0.405 0.786 0.357
0.595 0.214 0.643
0.595 0.786 0.143
0.720 0.197 0.394
0.720 0.803 0.894
0.811 0.334 0.106
0.811 0.666 0.606
```

Top 10 peaks for 2θ from 15° to 90°, in order of rising 2θ:
d 4.496, intensity 89; d 4.304, intensity 29; d 4.121, intensity 81; d 3.547, intensity 100; d 3.355, intensity 71; d 3.020, intensity 26; d 2.595, intensity 25; d 2.529, intensity 46; d 2.048, intensity 25; d 1.968, intensity 24


# Li2Cr2O7
Computed powder X-ray diffraction pattern, Cu Kα X-rays. Input: a cell relaxed with GGA+U.

Atomic structure:
```
Li2Cr2O7
1.0
5.433 0.000 0.000
-0.077 7.621 0.000
-1.692 -1.651 7.458
Li Cr O
4 4 14
direct
0.195 0.247 0.311
0.234 0.724 0.921
0.766 0.276 0.079
0.805 0.753 0.689
0.219 0.251 0.864
0.245 0.737 0.477
0.755 0.263 0.523
0.781 0.749 0.136
0.024 0.841 0.328
0.117 0.229 0.044
0.170 0.777 0.675
0.224 0.522 0.393
0.265 0.463 0.866
0.464 0.189 0.499
0.489 0.158 0.871
0.511 0.842 0.129
0.536 0.811 0.501
0.735 0.537 0.134
0.776 0.478 0.607
0.830 0.223 0.325
0.883 0.771 0.956
0.976 0.159 0.672
```

Top 10 peaks for 2θ from 15° to 90°, in order of rising 2θ:
d 4.777, intensity 14; d 4.243, intensity 39; d 3.917, intensity 41; d 3.721, intensity 100; d 3.431, intensity 30; d 3.326, intensity 15; d 3.266, intensity 23; d 2.940, intensity 9; d 2.774, intensity 14; d 2.648, intensity 12


# Li2CrO3
Computed powder X-ray diffraction pattern, Cu Kα X-rays. Input: a cell relaxed with GGA+U.

Atomic structure:
```
Li2CrO3
1.0
6.311 -1.455 0.000
6.311 1.455 0.000
-1.465 0.000 5.787
Li Cr O
4 2 6
direct
0.000 0.000 0.000
0.000 0.000 0.500
0.340 0.340 0.664
0.660 0.660 0.336
0.343 0.343 0.176
0.657 0.657 0.824
0.169 0.169 0.614
0.173 0.173 0.062
0.488 0.488 0.244
0.512 0.512 0.756
0.827 0.827 0.938
0.831 0.831 0.386
```

Top 10 peaks for 2θ from 15° to 90°, in order of rising 2θ:
d 5.787, intensity 30; d 4.839, intensity 100; d 3.768, intensity 23; d 2.832, intensity 12; d 2.488, intensity 21; d 2.084, intensity 72; d 2.040, intensity 31; d 1.613, intensity 11; d 1.462, intensity 17; d 1.453, intensity 16


# Li2Cr4O13
Computed powder X-ray diffraction pattern, Cu Kα X-rays. Input: a cell relaxed with GGA+U.

Atomic structure:
```
Li2Cr4O13
1.0
7.822 0.000 0.000
-0.578 8.221 0.000
-0.918 -4.064 11.388
Li Cr O
6 12 39
direct
0.110 0.489 0.363
0.288 0.022 0.019
0.305 0.469 0.621
0.695 0.531 0.379
0.712 0.978 0.981
0.890 0.511 0.637
0.026 0.351 0.044
0.032 0.848 0.373
0.222 0.831 0.637
0.371 0.643 0.957
0.383 0.180 0.351
0.419 0.828 0.353
0.581 0.172 0.647
0.617 0.820 0.649
0.629 0.357 0.043
0.778 0.169 0.363
0.968 0.152 0.627
0.974 0.649 0.956
0.022 0.826 0.237
0.063 0.420 0.185
0.091 0.653 0.600
0.092 0.960 0.573
0.100 0.307 0.617
0.125 0.181 0.993
0.148 0.499 0.991
0.189 0.776 0.986
0.222 0.734 0.397
0.224 0.923 0.775
0.267 0.017 0.394
0.275 0.346 0.408
0.345 0.118 0.210
0.351 0.563 0.816
0.397 0.743 0.214
0.405 0.694 0.619
0.442 0.969 0.615
0.450 0.279 0.594
0.493 0.184 0.005
0.500 0.500 0.000
0.507 0.816 0.995
0.550 0.721 0.406
0.558 0.031 0.385
0.595 0.306 0.381
0.603 0.257 0.786
0.649 0.437 0.184
0.655 0.882 0.790
0.725 0.654 0.592
0.733 0.983 0.606
0.776 0.077 0.225
0.778 0.266 0.603
0.811 0.224 0.014
0.852 0.501 0.009
0.875 0.819 0.007
0.900 0.693 0.383
0.908 0.040 0.427
0.909 0.347 0.400
0.937 0.580 0.815
0.978 0.174 0.763
```

Top 10 peaks for 2θ from 15° to 90°, in order of rising 2θ:
d 5.780, intensity 35; d 5.586, intensity 80; d 3.985, intensity 31; d 3.874, intensity 30; d 3.796, intensity 100; d 3.426, intensity 74; d 3.326, intensity 36; d 2.925, intensity 28; d 2.278, intensity 29; d 1.824, intensity 33


# Li2CrO3
Computed powder X-ray diffraction pattern, Cu Kα X-rays. Input: a cell relaxed with GGA+U.

Atomic structure:
```
Li2CrO3
1.0
2.577 -4.312 0.000
2.577 4.312 0.000
-1.816 0.000 4.658
Li Cr O
4 2 6
direct
0.082 0.918 0.500
0.239 0.749 0.004
0.749 0.239 0.504
0.918 0.082 0.000
0.396 0.578 0.492
0.578 0.396 0.992
0.005 0.498 0.265
0.196 0.348 0.744
0.348 0.196 0.244
0.498 0.005 0.765
0.641 0.782 0.271
0.782 0.641 0.771
```

Top 10 peaks for 2θ from 15° to 90°, in order of rising 2θ:
d 4.312, intensity 14; d 4.196, intensity 100; d 3.768, intensity 30; d 3.164, intensity 50; d 2.718, intensity 9; d 2.382, intensity 9; d 2.095, intensity 38; d 2.029, intensity 69; d 1.475, intensity 18; d 1.441, intensity 17